Computed powder diffraction line list
Compound: BSb
Radiation: Cu Kα (weighted mean of Kα1 and Kα2)
Structure: DFT lattice parameters and positions (PBE)

Structure:
```
data_BSb
_cell_length_a 5.282
_cell_length_b 5.282
_cell_length_c 5.282
_cell_angle_alpha 90.00
_cell_angle_beta 90.00
_cell_angle_gamma 90.00
_symmetry_space_group_name_H-M 'F -4 3 m'
_symmetry_Int_Tables_number 216
_symmetry_space_group_name_Hall 'F -4 2 3'
loop_
_atom_site_label
_atom_site_type_symbol
_atom_site_fract_x
_atom_site_fract_y
_atom_site_fract_z
B1 B 0.000 0.000 0.000
Sb1 Sb 0.250 0.250 0.750
```

Main lines, low angle first (5° ≤ 2θ ≤ 70°):
d/Å  I/Imax  hkl
3.050  100  1 1 1
2.641  44  2 0 0
1.868  40  2 2 0
1.593  42  3 1 1
1.525  11  2 2 2

Computed powder diffraction line list
Compound: NaNbO3
Radiation: Cu Kα (weighted mean of Kα1 and Kα2)
Structure: DFT lattice parameters and positions (PBE)

Structure:
```
data_NaNbO3
_cell_length_a 5.654
_cell_length_b 23.805
_cell_length_c 5.614
_cell_angle_alpha 90.00
_cell_angle_beta 90.00
_cell_angle_gamma 90.00
_symmetry_space_group_name_H-M 'P n m a'
_symmetry_Int_Tables_number 62
_symmetry_space_group_name_Hall '-P 2ac 2n'
loop_
_atom_site_label
_atom_site_type_symbol
_atom_site_fract_x
_atom_site_fract_y
_atom_site_fract_z
Na1 Na 0.005 0.250 0.011
Na2 Na 0.017 0.084 0.004
Nb1 Nb 0.000 0.000 0.500
Nb2 Nb 0.022 0.167 0.506
O1 O 0.006 0.750 0.550
O2 O 0.012 0.584 0.447
O3 O 0.199 0.175 0.794
O4 O 0.218 0.659 0.793
O5 O 0.244 0.010 0.244
```

Main lines, low angle first (5° ≤ 2θ ≤ 70°):
d/Å  I/Imax  hkl
3.978  100  0 6 0
2.827  19  2 0 0
2.810  94  0 0 2
1.992  31  2 0 2
1.776  19  1 12 1
1.622  25  1 6 3

Computed powder diffraction line list
Compound: Mg14CdSn
Radiation: Cu Kα (weighted mean of Kα1 and Kα2)
Structure: DFT lattice parameters and positions (PBE)

Structure:
```
data_Mg14CdSn
_cell_length_a 10.485
_cell_length_b 6.377
_cell_length_c 10.940
_cell_angle_alpha 90.00
_cell_angle_beta 90.00
_cell_angle_gamma 90.00
_symmetry_space_group_name_H-M 'A m m 2'
_symmetry_Int_Tables_number 38
_symmetry_space_group_name_Hall 'A 2 -2'
loop_
_atom_site_label
_atom_site_type_symbol
_atom_site_fract_x
_atom_site_fract_y
_atom_site_fract_z
Mg1 Mg 0.000 0.000 0.000
Mg2 Mg 0.000 0.000 0.500
Mg3 Mg 0.000 0.250 0.250
Mg4 Mg 0.248 0.000 0.167
Mg5 Mg 0.249 0.000 0.667
Mg6 Mg 0.249 0.250 0.417
Mg7 Mg 0.500 0.250 0.250
Cd1 Cd 0.500 0.000 0.500
Sn1 Sn 0.500 0.000 0.001
```

Main lines, low angle first (5° ≤ 2θ ≤ 70°):
d/Å  I/Imax  hkl
10.485  89  1 0 0
4.850  35  1 0 2
2.755  29  0 2 2
2.621  40  4 0 0
2.439  100  2 2 2
2.425  49  2 0 4